Record 1
# TaInFe2B
Theoretical X-ray powder pattern, Cu Kα. Input: a DFT-relaxed cell (PBE, Alexandria).

The 10 most intense peaks (2θ = 10–90°), in order of rising 2θ:
d = 4.326 Å, rel. 20; d = 3.207 Å, rel. 22; d = 3.131 Å, rel. 100; d = 2.268 Å, rel. 44; d = 2.163 Å, rel. 19; d = 1.837 Å, rel. 44; d = 1.604 Å, rel. 15; d = 1.565 Å, rel. 27; d = 1.288 Å, rel. 14; d = 1.208 Å, rel. 11

Cell and atoms:
abc: 4.5360 4.5360 4.3262
angles: 90.00 90.00 90.00
Fractional coordinates of all 5 atoms:
Ta 0.0000 0.0000 0.0000
In 0.5000 0.5000 0.5000
Fe 0.0000 0.5000 0.0000
Fe 0.5000 0.0000 0.0000
B 0.0000 0.0000 0.5000



Record 2
# FeB2Ir4
Theoretical X-ray powder pattern, Cu Kα. Input: a DFT-relaxed cell (PBE, Alexandria).

The 10 most intense peaks (2θ = 10–90°), in order of rising 2θ:
d = 2.855 Å, rel. 100; d = 2.818 Å, rel. 25; d = 2.653 Å, rel. 45; d = 2.343 Å, rel. 32; d = 2.190 Å, rel. 27; d = 2.147 Å, rel. 71; d = 2.110 Å, rel. 45; d = 1.956 Å, rel. 25; d = 1.944 Å, rel. 47; d = 1.310 Å, rel. 25

Cell and atoms:
abc: 6.6370 6.6370 6.6370
angles: 116.73 82.52 132.87
Fractional coordinates of all 14 atoms:
Fe 0.2006 0.2500 0.4506
Fe 0.7994 0.7500 0.5494
B 0.1621 0.1621 0.0000
B 0.1621 0.6621 0.5000
B 0.4532 0.8621 0.0911
B 0.7710 0.3621 0.9089
Ir 0.1146 0.3676 0.8496
Ir 0.1146 0.7650 0.2470
Ir 0.3952 0.1831 0.7121
Ir 0.4710 0.6831 0.2879
Ir 0.5180 0.2650 0.1504
Ir 0.5180 0.8676 0.7530
Ir 0.8956 0.1889 0.2066
Ir 0.9823 0.6889 0.7934